Starting from a cell relaxed with GGA+U, the powder diffraction line list of NaLi5Fe2P2C2O14 was computed for Cu Kα (λ = 1.5418 Å).

Atomic structure:
Lattice parameters (Å, degrees): 6.607 8.590 9.982 87.74 89.62 89.59
Element x y z (fractional)
Na  0.000  0.000  0.000
Na  0.256  0.167  0.247
Li  0.234  0.185  0.734
Li  0.266  0.650  0.508
Li  0.276  0.643  0.011
Li  0.504  0.822  0.748
Li  0.514  0.821  0.251
Li  0.732  0.644  0.011
Li  0.739  0.649  0.509
Li  0.771  0.188  0.239
Li  0.776  0.187  0.738
Li  0.992  0.003  0.500
Fe  0.002  0.571  0.736
Fe  0.003  0.563  0.235
Fe  0.504  0.263  0.516
Fe  0.508  0.269  0.008
P  0.004  0.333  0.973
P  0.503  0.509  0.768
P  0.507  0.506  0.269
P  0.998  0.326  0.479
C  0.003  0.876  0.751
C  0.505  0.957  0.987
C  0.506  0.956  0.488
C  0.994  0.860  0.269
O  0.001  0.822  0.632
O  0.002  0.492  0.534
O  0.002  0.779  0.854
O  0.002  0.806  0.150
O  0.003  0.503  0.022
O  0.006  0.762  0.371
O  0.007  0.025  0.767
O  0.188  0.227  0.520
O  0.194  0.240  0.019
O  0.318  0.605  0.717
O  0.319  0.598  0.216
O  0.500  0.490  0.425
O  0.502  0.812  0.956
O  0.502  0.997  0.111
O  0.503  0.339  0.719
O  0.503  0.498  0.925
O  0.503  0.999  0.611
O  0.504  0.810  0.458
O  0.511  0.066  0.892
O  0.513  0.063  0.392
O  0.523  0.341  0.212
O  0.686  0.606  0.716
O  0.687  0.612  0.221
O  0.818  0.227  0.536
O  0.822  0.238  0.030
O  0.976  0.008  0.288
O  0.983  0.341  0.323
O  0.996  0.342  0.816

Top 10 peaks for 2θ = 15–90°, low angle first:
| d (Å) | intensity | hkl |
| --- | --- | --- |
| 4.388 | 38.4 | 0 1 2 |
| 4.240 | 36.5 | 0 1 -2 |
| 3.318 | 31.3 | 0 2 2 |
| 3.303 | 100.0 | 2 0 0 |
| 2.627 | 15.1 | 2 2 0 |
| 2.608 | 15.3 | 2 -2 0 |
| 2.494 | 29.3 | 0 0 4 |
| 2.420 | 16.2 | 0 1 4 |
| 2.293 | 18.1 | 1 3 -2 |
| 1.652 | 18.7 | 4 0 0 |